No. 1
Simulated X-ray powder pattern
Compound: Hg3Sb2I2
Radiation: Cu Ka
Structure: a PBE-relaxed structure
Kinematic intensities with the Lorentz-polarization factor, no thermal factor.

Peak list (10 most intense, 2θ from 10° to 90°, by angle)
d 6.563, intensity 680; d 5.350, intensity 306; d 3.283, intensity 471; d 3.096, intensity 1000; d 2.802, intensity 484; d 2.737, intensity 284; d 2.315, intensity 199; d 2.083, intensity 180; d 1.935, intensity 286; d 1.548, intensity 191

Atomic structure:
Cell: 6.699 8.331 10.925 Å, 90.00 101.62 90.00°
Fractional positions:
Hg 0.000 0.000 0.000
Hg 0.000 0.249 0.250
Hg 0.000 0.251 0.750
Hg 0.000 0.500 0.500
Hg 0.000 0.749 0.250
Hg 0.000 0.751 0.750
Sb 0.151 0.001 0.627
Sb 0.151 0.499 0.127
Sb 0.849 0.501 0.873
Sb 0.849 0.999 0.373
I 0.454 0.502 0.708
I 0.454 0.998 0.208
I 0.546 0.002 0.792
I 0.546 0.498 0.292

No. 2
Simulated X-ray powder pattern
Compound: CaHfSc
Radiation: Cu Ka
Structure: a PBE-relaxed structure
Kinematic intensities with the Lorentz-polarization factor, no thermal factor.

Peak list (10 most intense, 2θ from 10° to 90°, by angle)
d 5.574, intensity 323; d 2.892, intensity 419; d 2.850, intensity 173; d 2.787, intensity 186; d 2.567, intensity 1000; d 2.379, intensity 293; d 2.007, intensity 171; d 1.842, intensity 148; d 1.670, intensity 193; d 1.447, intensity 153

Atomic structure:
Cell: 16.721 3.340 3.340 Å, 59.99 90.00 90.00°
Fractional positions:
Ca 0.181 0.000 0.000
Ca 0.819 0.000 0.000
Hf 0.353 0.333 0.333
Hf 0.647 0.333 0.333
Sc 0.000 0.332 0.332
Sc 0.500 0.000 0.000

No. 3
Simulated X-ray powder pattern
Compound: AcHoHgO4
Radiation: Cu Ka
Structure: a PBE-relaxed structure
Kinematic intensities with the Lorentz-polarization factor, no thermal factor.

Peak list (10 most intense, 2θ from 10° to 90°, by angle)
d 3.576, intensity 410; d 3.132, intensity 1000; d 3.061, intensity 369; d 3.018, intensity 365; d 3.001, intensity 837; d 2.850, intensity 337; d 1.986, intensity 215; d 1.928, intensity 276; d 1.874, intensity 170; d 1.788, intensity 587

Atomic structure:
Cell: 7.164 7.164 7.164 Å, 122.26 116.90 90.80°
Fractional positions:
Ac 0.000 0.000 0.000
Ac 0.500 0.000 0.500
Ho 0.500 0.000 0.000
Ho 0.500 0.500 0.500
Hg 0.136 0.386 0.750
Hg 0.864 0.614 0.250
O 0.272 0.257 0.485
O 0.272 0.786 0.015
O 0.292 0.245 0.047
O 0.302 0.755 0.547
O 0.698 0.245 0.453
O 0.708 0.755 0.953
O 0.728 0.214 0.985
O 0.728 0.743 0.515

No. 4
Simulated X-ray powder pattern
Compound: SmEr4Tm
Radiation: Cu Ka
Structure: a PBE-relaxed structure
Kinematic intensities with the Lorentz-polarization factor, no thermal factor.

Peak list (10 most intense, 2θ from 10° to 90°, by angle)
d 3.022, intensity 178; d 2.806, intensity 402; d 2.747, intensity 1000; d 2.642, intensity 305; d 2.057, intensity 121; d 1.845, intensity 85; d 1.700, intensity 81; d 1.609, intensity 202; d 1.542, intensity 95; d 1.454, intensity 95

Atomic structure:
Cell: 11.815 11.815 11.815 Å, 152.51 40.87 150.36°
Fractional positions:
Sm 0.000 0.000 0.000
Sm 0.500 0.000 0.500
Er 0.092 0.923 0.169
Er 0.158 0.567 0.591
Er 0.254 0.923 0.331
Er 0.475 0.567 0.909
Er 0.525 0.433 0.091
Er 0.746 0.077 0.669
Er 0.842 0.433 0.409
Er 0.908 0.077 0.831
Tm 0.328 0.578 0.750
Tm 0.672 0.422 0.250

No. 5
Simulated X-ray powder pattern
Compound: AcDyIrAu
Radiation: Cu Ka
Structure: a PBE-relaxed structure
Kinematic intensities with the Lorentz-polarization factor, no thermal factor.

Peak list (7 most intense, 2θ from 10° to 90°, by angle)
d 4.236, intensity 14; d 2.594, intensity 1000; d 2.212, intensity 8; d 1.834, intensity 182; d 1.498, intensity 380; d 1.297, intensity 118; d 1.160, intensity 170

Atomic structure:
Cell: 5.188 5.188 5.188 Å, 60.00 60.00 60.00°
Fractional positions:
Ac 0.000 0.000 0.000
Dy 0.500 0.500 0.500
Ir 0.750 0.750 0.750
Au 0.250 0.250 0.250

No. 6
Simulated X-ray powder pattern
Compound: K2RbPtCl6
Radiation: Cu Ka
Structure: a PBE-relaxed structure
Kinematic intensities with the Lorentz-polarization factor, no thermal factor.

Peak list (10 most intense, 2θ from 10° to 90°, by angle)
d 7.947, intensity 813; d 5.972, intensity 1000; d 5.478, intensity 296; d 3.772, intensity 268; d 3.561, intensity 437; d 2.810, intensity 272; d 2.652, intensity 551; d 2.513, intensity 198; d 2.287, intensity 218; d 1.781, intensity 223

Atomic structure:
Cell: 16.417 16.417 16.417 Å, 25.06 25.06 25.06°
Fractional positions:
K 0.147 0.147 0.147
K 0.314 0.314 0.314
K 0.686 0.686 0.686
K 0.853 0.853 0.853
Rb 0.416 0.416 0.416
Rb 0.584 0.584 0.584
Pt 0.000 0.000 0.000
Pt 0.500 0.500 0.500
Cl 0.148 0.631 0.631
Cl 0.190 0.190 0.709
Cl 0.190 0.709 0.190
Cl 0.291 0.810 0.810
Cl 0.369 0.369 0.852
Cl 0.369 0.852 0.369
Cl 0.631 0.148 0.631
Cl 0.631 0.631 0.148
Cl 0.709 0.190 0.190
Cl 0.810 0.291 0.810
Cl 0.810 0.810 0.291
Cl 0.852 0.369 0.369

No. 7
Simulated X-ray powder pattern
Compound: Tb2Y8Tm
Radiation: Cu Ka
Structure: a PBE-relaxed structure
Kinematic intensities with the Lorentz-polarization factor, no thermal factor.

Peak list (10 most intense, 2θ from 10° to 90°, by angle)
d 2.908, intensity 1000; d 2.518, intensity 502; d 1.781, intensity 292; d 1.779, intensity 58; d 1.519, intensity 275; d 1.517, intensity 137; d 1.454, intensity 91; d 1.155, intensity 125; d 1.127, intensity 65; d 1.126, intensity 52

Atomic structure:
Cell: 6.164 6.166 9.432 Å, 89.93 83.72 80.32°
Fractional positions:
Tb 0.182 0.138 0.272
Tb 0.818 0.862 0.728
Y 0.090 0.319 0.637
Y 0.272 0.955 0.909
Y 0.363 0.774 0.546
Y 0.454 0.591 0.181
Y 0.546 0.409 0.819
Y 0.637 0.226 0.454
Y 0.728 0.045 0.091
Y 0.910 0.681 0.363
Tm 0.000 0.500 0.000

No. 8
Simulated X-ray powder pattern
Compound: Ac8Pr5Ho
Radiation: Cu Ka
Structure: a PBE-relaxed structure
Kinematic intensities with the Lorentz-polarization factor, no thermal factor.

Peak list (10 most intense, 2θ from 10° to 90°, by angle)
d 3.668, intensity 419; d 3.180, intensity 510; d 3.161, intensity 623; d 3.127, intensity 170; d 3.011, intensity 1000; d 2.961, intensity 977; d 2.937, intensity 259; d 2.764, intensity 437; d 1.918, intensity 220; d 1.693, intensity 164

Atomic structure:
Cell: 9.161 9.161 9.842 Å, 122.13 122.13 80.39°
Fractional positions:
Ac 0.054 0.054 0.355
Ac 0.206 0.388 0.851
Ac 0.220 0.264 0.191
Ac 0.566 0.214 0.726
Ac 0.612 0.794 0.149
Ac 0.736 0.780 0.809
Ac 0.786 0.434 0.274
Ac 0.946 0.946 0.645
Pr 0.289 0.581 0.626
Pr 0.419 0.711 0.374
Pr 0.424 0.034 0.909
Pr 0.713 0.287 0.500
Pr 0.966 0.576 0.091
Ho 0.181 0.819 0.000

No. 9
Simulated X-ray powder pattern
Compound: K5Mn2Se5
Radiation: Cu Ka
Structure: a PBE-relaxed structure
Kinematic intensities with the Lorentz-polarization factor, no thermal factor.

Peak list (10 most intense, 2θ from 10° to 90°, by angle)
d 7.329, intensity 231; d 5.644, intensity 224; d 4.098, intensity 199; d 3.209, intensity 1000; d 2.968, intensity 242; d 2.827, intensity 587; d 2.698, intensity 354; d 2.288, intensity 250; d 2.138, intensity 261; d 1.705, intensity 240

Atomic structure:
Cell: 4.275 7.781 11.511 Å, 101.12 90.01 105.95°
Fractional positions:
K 0.000 0.000 0.000
K 0.154 0.308 0.596
K 0.278 0.556 0.876
K 0.722 0.444 0.124
K 0.846 0.692 0.404
Mn 0.464 0.929 0.702
Mn 0.536 0.071 0.298
Se 0.130 0.259 0.292
Se 0.392 0.783 0.152
Se 0.500 0.000 0.500
Se 0.608 0.217 0.848
Se 0.870 0.741 0.708

No. 10
Simulated X-ray powder pattern
Compound: Ag3PO4
Radiation: Cu Ka
Structure: a PBE-relaxed structure
Kinematic intensities with the Lorentz-polarization factor, no thermal factor.

Peak list (10 most intense, 2θ from 10° to 90°, by angle)
d 3.065, intensity 439; d 2.755, intensity 971; d 2.729, intensity 1000; d 2.528, intensity 239; d 2.498, intensity 226; d 2.488, intensity 195; d 2.033, intensity 173; d 1.763, intensity 188; d 1.710, intensity 221; d 1.691, intensity 234

Atomic structure:
Cell: 6.132 6.132 6.132 Å, 89.31 89.31 89.31°
Fractional positions:
Ag 0.099 0.795 0.606
Ag 0.106 0.295 0.599
Ag 0.295 0.599 0.106
Ag 0.599 0.106 0.295
Ag 0.606 0.099 0.795
Ag 0.795 0.606 0.099
P 0.105 0.105 0.105
P 0.605 0.605 0.605
O 0.253 0.253 0.253
O 0.257 0.943 0.979
O 0.443 0.757 0.479
O 0.479 0.443 0.757
O 0.753 0.753 0.753
O 0.757 0.479 0.443
O 0.943 0.979 0.257
O 0.979 0.257 0.943